# MnFe2Sb2P6O24
Simulated powder XRD pattern, a wavelength of 1.5418 Å. Input: the GGA+U geometry in the Materials Project.
Intensities are scaled so that the largest is 100.

Structure:
a b c (Å): 8.8203 8.8203 8.8203
angles (deg): 57.99 57.99 57.99
Element x y z (fractional)
Mn 0.0000 0.0000 0.0000
Fe 0.1467 0.1467 0.1467
Fe 0.8533 0.8533 0.8533
Sb 0.3558 0.3558 0.3558
Sb 0.6442 0.6442 0.6442
P 0.0372 0.7561 0.4541
P 0.2439 0.5459 0.9628
P 0.4541 0.0372 0.7561
P 0.5459 0.9628 0.2439
P 0.7561 0.4541 0.0372
P 0.9628 0.2439 0.5459
O 0.0049 0.8078 0.6105
O 0.0929 0.8982 0.2503
O 0.1018 0.7497 0.9071
O 0.1505 0.2452 0.5247
O 0.1922 0.3895 0.9951
O 0.1965 0.5548 0.4733
O 0.2452 0.5247 0.1505
O 0.2503 0.0929 0.8982
O 0.3895 0.9951 0.1922
O 0.4452 0.5267 0.8035
O 0.4733 0.1965 0.5548
O 0.4753 0.8495 0.7548
O 0.5247 0.1505 0.2452
O 0.5267 0.8035 0.4452
O 0.5548 0.4733 0.1965
O 0.6105 0.0049 0.8078
O 0.7497 0.9071 0.1018
O 0.7548 0.4753 0.8495
O 0.8035 0.4452 0.5267
O 0.8078 0.6105 0.0049
O 0.8495 0.7548 0.4753
O 0.8982 0.2503 0.0929
O 0.9071 0.1018 0.7497
O 0.9951 0.1922 0.3895

The 8 most intense peaks (2θ from 5° to 70°), most intense first:
2θ = 24.11°, I = 100
2θ = 20.77°, I = 87
2θ = 32.22°, I = 81
2θ = 20.15°, I = 62
2θ = 29.10°, I = 45
2θ = 36.39°, I = 34
2θ = 12.11°, I = 33
2θ = 49.39°, I = 24